1.
Theoretical powder X-ray diffraction pattern of KNa2NpO5 for Cu Kα (weighted mean of Kα1 and Kα2), from a DFT-relaxed cell (GGA-PBE, Alexandria).
Intensities are scaled so that the largest is 100.

Crystal structure
```
data_KNa2NpO5
_chemical_formula_sum 'K2 Na4 Np2 O10'
_cell_length_a 4.349
_cell_length_b 6.037
_cell_length_c 11.063
_cell_angle_alpha 90.00
_cell_angle_beta 90.00
_cell_angle_gamma 90.00
_space_group_name_H-M_alt 'I m m m'
_space_group_IT_number 71
_space_group_name_Hall '-I 2 2'
loop_
_atom_site_label
_atom_site_fract_x
_atom_site_fract_y
_atom_site_fract_z
K1 0.000 0.000 0.000
Na1 0.000 0.500 0.225
Np1 0.000 0.000 0.500
O1 0.000 0.226 0.373
O2 0.000 0.500 0.000
```

Peak list (10 most intense, 2θ = 15–90°, most intense first)
index  d (Å)  I/Imax
0 1 1  5.299  100
1 1 2  2.975  92
0 0 2  5.532  66
1 0 1  4.048  49
1 1 0  3.529  36
2 0 0  2.176  35
0 2 4  2.039  26
0 2 2  2.650  22
2 2 4  1.488  22
1 2 3  2.058  21

=====

2.
Theoretical powder X-ray diffraction pattern of KNa2Np2O7 for Cu Kα (weighted mean of Kα1 and Kα2), from a DFT-relaxed cell (GGA-PBE, Alexandria).
Intensities are scaled so that the largest is 100.

Crystal structure
```
data_KNa2Np2O7
_chemical_formula_sum 'K2 Na4 Np4 O14'
_cell_length_a 4.303
_cell_length_b 4.303
_cell_length_c 19.821
_cell_angle_alpha 90.00
_cell_angle_beta 90.00
_cell_angle_gamma 90.00
_space_group_name_H-M_alt 'I 4/m m m'
_space_group_IT_number 139
_space_group_name_Hall '-I 4 2'
loop_
_atom_site_label
_atom_site_fract_x
_atom_site_fract_y
_atom_site_fract_z
K1 0.000 0.000 0.000
Na1 0.000 0.500 0.250
Np1 0.000 0.000 0.393
O1 0.000 0.000 0.292
O2 0.000 0.000 0.500
O3 0.000 0.500 0.106
```

Peak list (10 most intense, 2θ = 15–90°, most intense first)
index  d (Å)  I/Imax
1 0 1  4.205  100
1 0 5  2.915  74
0 0 4  4.955  38
1 0 3  3.606  37
1 1 0  3.043  36
2 0 0  2.151  32
2 1 5  1.731  30
1 1 4  2.593  27
2 1 1  1.915  25
1 0 9  1.960  23

=====

3.
Theoretical powder X-ray diffraction pattern of KNaNpO4 for Cu Kα (weighted mean of Kα1 and Kα2), from a DFT-relaxed cell (GGA-PBE, Alexandria).
Intensities are scaled so that the largest is 100.

Crystal structure
```
data_KNaNpO4
_chemical_formula_sum 'K2 Na2 Np2 O8'
_cell_length_a 4.321
_cell_length_b 4.321
_cell_length_c 12.687
_cell_angle_alpha 90.00
_cell_angle_beta 90.00
_cell_angle_gamma 90.00
_space_group_name_H-M_alt 'I 4 m m'
_space_group_IT_number 107
_space_group_name_Hall 'I 4 -2'
loop_
_atom_site_label
_atom_site_fract_x
_atom_site_fract_y
_atom_site_fract_z
K1 0.000 0.000 0.000
Na1 0.000 0.000 0.704
Np1 0.000 0.000 0.350
O1 0.000 0.000 0.199
O2 0.000 0.000 0.503
O3 0.000 0.500 0.346
```

Peak list (10 most intense, 2θ = 15–90°, most intense first)
index  d (Å)  I/Imax
1 0 1  4.091  100
1 0 3  3.023  71
1 1 0  3.056  48
2 1 3  1.758  31
2 0 0  2.161  27
2 1 1  1.911  26
1 0 5  2.188  24
1 1 2  2.753  23
2 0 2  2.045  20
1 1 6  1.739  16

=====

4.
Theoretical powder X-ray diffraction pattern of K5NaO3 for Cu Kα (weighted mean of Kα1 and Kα2), from a DFT-relaxed cell (GGA-PBE, Alexandria).
Intensities are scaled so that the largest is 100.

Crystal structure
```
data_K5NaO3
_chemical_formula_sum 'K20 Na4 O12'
_cell_length_a 11.779
_cell_length_b 8.782
_cell_length_c 9.106
_cell_angle_alpha 90.00
_cell_angle_beta 108.52
_cell_angle_gamma 90.00
_space_group_name_H-M_alt 'C 1 2/m 1'
_space_group_IT_number 12
loop_
_space_group_symop_operation_xyz
'x,y,z'
'-x,-y,-z'
'-x,y,-z'
'x,-y,z'
'x+1/2,y+1/2,z'
'-x+1/2,-y+1/2,-z'
'-x+1/2,y+1/2,-z'
'x+1/2,-y+1/2,z'
loop_
_atom_site_label
_atom_site_fract_x
_atom_site_fract_y
_atom_site_fract_z
K1 0.000 0.197 0.000
K2 0.047 0.000 0.360
K3 0.182 0.315 0.647
K4 0.228 0.500 0.049
Na1 0.090 0.500 0.293
O1 0.000 0.500 0.000
O2 0.000 0.500 0.500
O3 0.161 0.000 0.160
O4 0.196 0.000 0.640
```

Peak list (10 most intense, 2θ = 15–90°, most intense first)
index  d (Å)  I/Imax
2 2 1  3.006  100
1 3 -1  2.757  35
0 0 3  2.878  34
4 0 -1  2.945  29
3 1 -3  2.612  28
4 0 2  2.064  22
1 3 -4  1.787  20
5 3 -2  1.811  20
2 0 -2  4.104  19
0 2 0  4.391  14

=====

Which formula does entry 2 have?
KNa2Np2O7